For Ag8GeS6, a cell relaxed with PBE gives the simulated PXRD pattern in this record (Cu Kα).
Kinematic intensities with the Lorentz-polarization factor, no thermal factor.

Most intense lines, 10 to 90 degrees two-theta, by angle:
index  2theta  I/Imax
4 0 2  28.71  34
0 2 2  28.85  100
3 1 3  32.83  56
3 2 2  33.90  36
0 3 1  36.48  44
4 2 4  47.93  44

Cell and atoms:
```
data_Ag8GeS6
_space_group_name_H-M_alt 'P n a 21'
_space_group_IT_number 33
_space_group_name_Hall 'P 2c -2n'
_cell_length_a 15.272
_cell_length_b 7.583
_cell_length_c 10.714
_cell_angle_alpha 90.00
_cell_angle_beta 90.00
_cell_angle_gamma 90.00
loop_
_atom_site_label
_atom_site_type_symbol
_atom_site_fract_x
_atom_site_fract_y
_atom_site_fract_z
Ag1 Ag 0.016 0.017 0.000
Ag2 Ag 0.063 0.234 0.224
Ag3 Ag 0.066 0.570 0.908
Ag4 Ag 0.089 0.609 0.581
Ag5 Ag 0.130 0.270 0.758
Ag6 Ag 0.227 0.006 0.979
Ag7 Ag 0.229 0.880 0.578
Ag8 Ag 0.240 0.632 0.795
Ge1 Ge 0.124 0.734 0.239
S1 S 0.005 0.730 0.116
S2 S 0.112 0.819 0.756
S3 S 0.121 0.497 0.364
S4 S 0.123 0.269 0.994
S5 S 0.127 0.974 0.363
S6 S 0.242 0.727 0.115
```